1.
Starting from a crystal structure in the Materials Project, relaxed with GGA+U, the PXRD pattern of Ca5V3CO12 was computed for CuKα.
Intensities are scaled so that the largest is 1000.

Structural model:
Lattice parameters (Å, degrees): 10.1764 10.1764 6.9266 90.00 90.00 120.00
Sites, in units of the cell vectors:
1 Ca 0.0189 0.7532 0.2500
2 Ca 0.2468 0.2657 0.2500
3 Ca 0.2657 0.0189 0.7500
4 Ca 0.3333 0.6667 0.5035
5 Ca 0.3333 0.6667 0.9965
6 Ca 0.6667 0.3333 0.0035
7 Ca 0.6667 0.3333 0.4965
8 Ca 0.7343 0.9811 0.2500
9 Ca 0.7532 0.7343 0.7500
10 Ca 0.9811 0.2468 0.7500
11 V 0.0296 0.4034 0.2500
12 V 0.3737 0.9704 0.2500
13 V 0.4034 0.3737 0.7500
14 V 0.5966 0.6263 0.2500
15 V 0.6263 0.0296 0.7500
16 V 0.9704 0.5966 0.7500
17 C 0.0000 0.0000 0.2500
18 C 0.0000 0.0000 0.7500
19 O 0.0897 0.3417 0.0525
20 O 0.0897 0.3417 0.4475
21 O 0.1382 0.6037 0.2500
22 O 0.1633 0.6609 0.7500
23 O 0.2520 0.9103 0.0525
24 O 0.2520 0.9103 0.4475
25 O 0.3391 0.5024 0.7500
26 O 0.3417 0.2520 0.5525
27 O 0.3417 0.2520 0.9475
28 O 0.3963 0.5345 0.2500
29 O 0.4655 0.8618 0.2500
30 O 0.4976 0.8367 0.7500
31 O 0.5024 0.1633 0.2500
32 O 0.5345 0.1382 0.7500
33 O 0.6037 0.4655 0.7500
34 O 0.6583 0.7480 0.0525
35 O 0.6583 0.7480 0.4475
36 O 0.6609 0.4976 0.2500
37 O 0.7480 0.0897 0.5525
38 O 0.7480 0.0897 0.9475
39 O 0.8367 0.3391 0.2500
40 O 0.8618 0.3963 0.7500
41 O 0.9103 0.6583 0.5525
42 O 0.9103 0.6583 0.9475

Top 10 peaks for 2θ = 15–90°, in order of rising 2θ:
d (Å)	I (rel.)
3.463	324
3.002	1000
2.938	628
2.863	416
2.723	273
2.305	168
2.050	309
1.898	308
1.746	206
1.732	172

2.
Starting from a crystal structure in the Materials Project, relaxed with GGA+U, the PXRD pattern of Cd2Ni2C8N12O was computed for CuKα.
Intensities are scaled so that the largest is 1000.

Structural model:
Lattice parameters (Å, degrees): 9.7330 9.7330 9.7330 134.75 81.07 116.82
Sites, in units of the cell vectors:
1 Cd 0.2500 0.0000 0.2500
2 Cd 0.7500 0.0000 0.7500
3 Ni 0.0405 0.5405 0.5000
4 Ni 0.4587 0.4587 0.0000
5 C 0.1256 0.3613 0.4134
6 C 0.1256 0.7122 0.7643
7 C 0.3746 0.2881 0.7359
8 C 0.3746 0.6387 0.0865
9 C 0.5522 0.2881 0.9135
10 C 0.5522 0.6387 0.2641
11 C 0.9479 0.3613 0.2357
12 C 0.9479 0.7122 0.5866
13 N 0.1741 0.2443 0.3596
14 N 0.1741 0.8144 0.9298
15 N 0.3264 0.1862 0.5704
16 N 0.3264 0.7560 0.1402
17 N 0.5229 0.7459 0.7770
18 N 0.5319 0.2544 0.2776
19 N 0.6158 0.1862 0.8598
20 N 0.6158 0.7560 0.4296
21 N 0.8847 0.2443 0.0702
22 N 0.8847 0.8144 0.6404
23 N 0.9689 0.7459 0.2230
24 N 0.9768 0.2544 0.7224
25 O 0.7068 0.2068 0.5000

Top 10 peaks for 2θ = 15–90°, in order of rising 2θ:
d (Å)	I (rel.)
5.099	489
4.676	1000
2.855	269
2.631	234
2.549	89
2.338	178
2.304	100
2.283	97
1.831	90
1.729	90

3.
Starting from a crystal structure in the Materials Project, relaxed with GGA+U, the PXRD pattern of CoH8C2N4Cl2O4 was computed for CuKα.
Intensities are scaled so that the largest is 1000.

Structural model:
Lattice parameters (Å, degrees): 7.4100 8.0541 9.3088 90.00 114.95 90.00
Sites, in units of the cell vectors:
1 Co 0.0000 0.0000 0.0000
2 Co 0.0000 0.5000 0.5000
3 H 0.0425 0.1878 0.6023
4 H 0.0425 0.3122 0.1023
5 H 0.0976 0.1916 0.4530
6 H 0.0976 0.3084 0.9530
7 H 0.2410 0.7013 0.2315
8 H 0.2410 0.7987 0.7315
9 H 0.4657 0.6017 0.2650
10 H 0.4657 0.8983 0.7650
11 H 0.5343 0.1017 0.2350
12 H 0.5343 0.3983 0.7350
13 H 0.7590 0.2013 0.2685
14 H 0.7590 0.2987 0.7685
15 H 0.9024 0.6916 0.0470
16 H 0.9024 0.8084 0.5470
17 H 0.9575 0.6878 0.8977
18 H 0.9575 0.8122 0.3977
19 C 0.4029 0.6959 0.6213
20 C 0.4029 0.8041 0.1213
21 C 0.5971 0.1959 0.8787
22 C 0.5971 0.3041 0.3787
23 N 0.3603 0.6873 0.2046
24 N 0.3603 0.8127 0.7046
25 N 0.4263 0.2140 0.9024
26 N 0.4263 0.2860 0.4024
27 N 0.5737 0.7140 0.5976
28 N 0.5737 0.7860 0.0976
29 N 0.6397 0.1873 0.2954
30 N 0.6397 0.3127 0.7954
31 Cl 0.0571 0.5165 0.7732
32 Cl 0.0571 0.9835 0.2732
33 Cl 0.9429 0.0165 0.7268
34 Cl 0.9429 0.4835 0.2268
35 O 0.0865 0.2400 0.0367
36 O 0.0865 0.2600 0.5367
37 O 0.3013 0.5661 0.5610
38 O 0.3013 0.9339 0.0610
39 O 0.6987 0.0661 0.9390
40 O 0.6987 0.4339 0.4390
41 O 0.9135 0.7400 0.4633
42 O 0.9135 0.7600 0.9633

Top 10 peaks for 2θ = 15–90°, in order of rising 2θ:
d (Å)	I (rel.)
5.827	1000
5.218	371
3.454	661
3.362	511
2.895	220
2.846	212
2.656	194
2.499	209
2.330	186
2.310	219